Record 1
Computed powder X-ray diffraction pattern of Ag2RuBr8 for Cu Kα (weighted mean of Kα1 and Kα2), from a DFT-relaxed cell (GGA-PBE, Alexandria).
Neutral-atom scattering factors, no anomalous dispersion.

Peak list (10 most intense, 2θ = 15–90°, in order of rising 2θ)
2theta  I/Imax
16.48  100.0
20.44  93.1
22.05  49.8
31.50  39.3
32.64  50.4
32.96  77.5
34.20  39.0
34.49  46.0
41.13  42.1
52.47  44.9

abc: 8.433 8.433 8.764
angles: 97.02 97.02 39.67
Fractional coordinates of all 11 atoms:
Ag 0.168 0.168 0.418
Ag 0.832 0.832 0.582
Ru 0.000 0.000 0.000
Br 0.012 0.012 0.288
Br 0.130 0.615 0.992
Br 0.320 0.320 0.559
Br 0.385 0.870 0.008
Br 0.615 0.130 0.992
Br 0.680 0.680 0.441
Br 0.870 0.385 0.008
Br 0.988 0.988 0.712

Record 2
Computed powder X-ray diffraction pattern of TmRe2O8 for Cu Kα (weighted mean of Kα1 and Kα2), from a DFT-relaxed cell (GGA-PBE, Alexandria).
Neutral-atom scattering factors, no anomalous dispersion.

Peak list (10 most intense, 2θ = 15–90°, in order of rising 2θ)
2theta  I/Imax
15.32  100.0
21.02  22.2
23.30  56.3
24.89  42.0
26.20  39.9
29.57  42.0
34.39  25.4
36.46  19.7
42.79  20.2
43.27  19.0

abc: 6.552 6.552 5.661
angles: 99.49 99.49 62.54
Fractional coordinates of all 11 atoms:
Tm 0.000 0.000 0.000
Re 0.188 0.188 0.662
Re 0.812 0.812 0.338
O 0.073 0.690 0.190
O 0.136 0.136 0.342
O 0.310 0.927 0.810
O 0.345 0.345 0.746
O 0.655 0.655 0.254
O 0.690 0.073 0.190
O 0.864 0.864 0.658
O 0.927 0.310 0.810

Record 3
Computed powder X-ray diffraction pattern of MnCuAg2Cl8 for Cu Kα (weighted mean of Kα1 and Kα2), from a DFT-relaxed cell (GGA-PBE, Alexandria).
Neutral-atom scattering factors, no anomalous dispersion.

Peak list (10 most intense, 2θ = 15–90°, in order of rising 2θ)
2theta  I/Imax
23.30  85.4
24.22  100.0
27.59  42.6
29.40  19.0
35.80  19.5
37.64  25.5
41.50  84.5
43.15  30.1
47.63  28.3
54.13  28.2

abc: 7.370 7.370 7.370
angles: 117.59 117.59 94.22
Fractional coordinates of all 12 atoms:
Mn 0.000 0.000 0.000
Cu 0.250 0.750 0.500
Ag 0.500 0.500 0.000
Ag 0.750 0.250 0.500
Cl 0.299 0.087 0.788
Cl 0.299 0.511 0.212
Cl 0.338 0.052 0.286
Cl 0.489 0.701 0.788
Cl 0.765 0.052 0.714
Cl 0.913 0.701 0.212
Cl 0.948 0.235 0.286
Cl 0.948 0.662 0.714

Record 4
Computed powder X-ray diffraction pattern of Nd3CdHg for Cu Kα (weighted mean of Kα1 and Kα2), from a DFT-relaxed cell (GGA-PBE, Alexandria).
Neutral-atom scattering factors, no anomalous dispersion.

Peak list (10 most intense, 2θ = 15–90°, in order of rising 2θ)
2theta  I/Imax
16.24  25.4
27.56  30.3
29.38  39.9
32.81  100.0
33.58  44.8
33.81  38.2
34.72  92.7
51.67  44.8
63.04  43.4
63.77  26.0

abc: 8.989 8.989 8.989
angles: 46.36 46.36 46.36
Fractional coordinates of all 10 atoms:
Nd 0.106 0.106 0.602
Nd 0.106 0.602 0.106
Nd 0.398 0.894 0.894
Nd 0.602 0.106 0.106
Nd 0.894 0.398 0.894
Nd 0.894 0.894 0.398
Cd 0.381 0.381 0.381
Cd 0.619 0.619 0.619
Hg 0.166 0.166 0.166
Hg 0.834 0.834 0.834

Record 5
Computed powder X-ray diffraction pattern of La4InN for Cu Kα (weighted mean of Kα1 and Kα2), from a DFT-relaxed cell (GGA-PBE, Alexandria).
Neutral-atom scattering factors, no anomalous dispersion.

Peak list (10 most intense, 2θ = 15–90°, in order of rising 2θ)
2theta  I/Imax
29.29  100.0
30.80  88.5
31.39  23.4
34.76  37.9
38.09  42.6
47.53  14.5
52.51  33.3
58.98  16.0
60.01  25.8
62.65  22.5

abc: 9.793 9.793 7.147
angles: 90.00 90.00 149.44
Fractional coordinates of all 12 atoms:
La 0.000 0.000 0.000
La 0.000 0.000 0.500
La 0.186 0.814 0.507
La 0.186 0.814 0.993
La 0.406 0.594 0.750
La 0.594 0.406 0.250
La 0.814 0.186 0.007
La 0.814 0.186 0.493
In 0.400 0.600 0.250
In 0.600 0.400 0.750
N 0.101 0.899 0.250
N 0.899 0.101 0.750

Record 6
Computed powder X-ray diffraction pattern of La6Er5 for Cu Kα (weighted mean of Kα1 and Kα2), from a DFT-relaxed cell (GGA-PBE, Alexandria).
Neutral-atom scattering factors, no anomalous dispersion.

Peak list (10 most intense, 2θ = 15–90°, in order of rising 2θ)
2theta  I/Imax
29.20  27.8
31.42  100.0
31.55  33.5
31.89  12.1
33.30  14.3
46.53  11.2
54.72  13.0
56.10  19.4
61.68  11.2
62.52  10.5

abc: 9.514 9.514 5.671
angles: 107.32 107.32 116.09
Fractional coordinates of all 11 atoms:
La 0.069 0.350 0.709
La 0.208 0.208 0.208
La 0.350 0.069 0.709
La 0.650 0.931 0.291
La 0.792 0.792 0.792
La 0.931 0.650 0.291
Er 0.201 0.799 0.000
Er 0.339 0.661 0.500
Er 0.500 0.500 0.000
Er 0.661 0.339 0.500
Er 0.799 0.201 0.000

Record 7
Computed powder X-ray diffraction pattern of SmNiHg for Cu Kα (weighted mean of Kα1 and Kα2), from a DFT-relaxed cell (GGA-PBE, Alexandria).
Neutral-atom scattering factors, no anomalous dispersion.

Peak list (10 most intense, 2θ = 15–90°, in order of rising 2θ)
2theta  I/Imax
30.83  35.1
32.74  100.0
35.37  64.0
39.18  39.8
45.41  20.3
47.22  18.1
57.46  12.6
58.84  29.7
59.52  13.5
62.97  19.6

abc: 8.654 8.654 3.994
angles: 90.00 90.00 154.30
Fractional coordinates of all 6 atoms:
Sm 0.097 0.903 0.750
Sm 0.903 0.097 0.250
Ni 0.460 0.540 0.750
Ni 0.540 0.460 0.250
Hg 0.297 0.703 0.750
Hg 0.703 0.297 0.250